[1]
For PbW8, a PBE-relaxed structure gives the computed powder XRD pattern in this record (Cu Kα X-rays).
No peak broadening, texture or thermal motion is included.

Crystal structure
Cell: 6.2619 6.2619 6.2619 Å, 97.39 97.39 137.96°
Fractional positions:
Pb (0.0000, 0.0000, 0.0000)
W (0.0000, 0.3401, 0.3401)
W (0.0000, 0.6599, 0.6599)
W (0.3326, 0.3326, 0.6652)
W (0.3326, 0.6674, 0.0000)
W (0.3401, 0.0000, 0.3401)
W (0.6599, 0.0000, 0.6599)
W (0.6674, 0.3326, 0.0000)
W (0.6674, 0.6674, 0.3348)

Top 9 peaks for 2θ = 10–90°, most intense first:
38.32 deg, intensity 100; 46.62 deg, intensity 29; 63.17 deg, intensity 23; 80.89 deg, intensity 23; 40.15 deg, intensity 22; 71.74 deg, intensity 16; 82.06 deg, intensity 11; 68.05 deg, intensity 9; 86.70 deg, intensity 3

***

[2]
For PbW2, a PBE-relaxed structure gives the computed powder XRD pattern in this record (Cu Kα X-rays).
No peak broadening, texture or thermal motion is included.

Crystal structure
Cell: 9.8202 9.8202 4.3647 Å, 90.00 90.00 161.43°
Fractional positions:
Pb (0.1888, 0.8112, 0.7500)
Pb (0.8112, 0.1888, 0.2500)
W (0.0598, 0.9402, 0.2500)
W (0.4436, 0.5564, 0.2500)
W (0.5564, 0.4436, 0.7500)
W (0.9402, 0.0598, 0.7500)

Top 10 peaks for 2θ = 10–90°, most intense first:
37.75 deg, intensity 100; 42.26 deg, intensity 79; 37.11 deg, intensity 50; 41.37 deg, intensity 38; 27.50 deg, intensity 30; 56.77 deg, intensity 29; 22.34 deg, intensity 21; 31.45 deg, intensity 19; 85.74 deg, intensity 19; 64.13 deg, intensity 18

***

[3]
For Pb3W5, a PBE-relaxed structure gives the computed powder XRD pattern in this record (Cu Kα X-rays).
No peak broadening, texture or thermal motion is included.

Crystal structure
Cell: 5.7014 5.7014 4.7020 Å, 90.00 90.00 100.47°
Fractional positions:
Pb (0.0000, 0.0000, 0.0000)
Pb (0.2849, 0.7151, 0.5000)
Pb (0.7151, 0.2849, 0.5000)
W (0.0000, 0.5000, 0.0000)
W (0.2019, 0.2019, 0.5000)
W (0.5000, 0.0000, 0.0000)
W (0.5000, 0.5000, 0.0000)
W (0.7981, 0.7981, 0.5000)

Top 10 peaks for 2θ = 10–90°, most intense first:
37.35 deg, intensity 100; 38.29 deg, intensity 32; 41.20 deg, intensity 18; 68.60 deg, intensity 18; 57.50 deg, intensity 15; 72.55 deg, intensity 11; 50.02 deg, intensity 9; 64.70 deg, intensity 9; 79.64 deg, intensity 8; 66.74 deg, intensity 6

***

[4]
For Pb4W5, a PBE-relaxed structure gives the computed powder XRD pattern in this record (Cu Kα X-rays).
No peak broadening, texture or thermal motion is included.

Crystal structure
Cell: 7.1560 7.1560 7.1560 Å, 95.15 95.15 145.12°
Fractional positions:
Pb (0.0000, 0.3106, 0.3106)
Pb (0.0000, 0.6894, 0.6894)
Pb (0.3106, 0.0000, 0.3106)
Pb (0.6894, 0.0000, 0.6894)
W (0.0000, 0.0000, 0.0000)
W (0.3667, 0.3667, 0.7333)
W (0.3667, 0.6333, 0.0000)
W (0.6333, 0.3667, 0.0000)
W (0.6333, 0.6333, 0.2667)

Top 10 peaks for 2θ = 10–90°, most intense first:
34.85 deg, intensity 100; 39.61 deg, intensity 31; 42.13 deg, intensity 18; 59.20 deg, intensity 18; 68.79 deg, intensity 15; 83.88 deg, intensity 12; 72.31 deg, intensity 12; 44.06 deg, intensity 12; 12.97 deg, intensity 9; 55.54 deg, intensity 9

***

[5]
For YPb, a PBE-relaxed structure gives the computed powder XRD pattern in this record (Cu Kα X-rays).
No peak broadening, texture or thermal motion is included.

Crystal structure
Cell: 4.4584 4.4584 4.4584 Å, 60.00 60.00 60.00°
Fractional positions:
Y (0.0000, 0.0000, 0.0000)
Pb (0.5000, 0.5000, 0.5000)

Top 10 peaks for 2θ = 10–90°, most intense first:
28.31 deg, intensity 100; 40.46 deg, intensity 77; 66.30 deg, intensity 36; 50.12 deg, intensity 28; 73.60 deg, intensity 27; 24.45 deg, intensity 27; 47.85 deg, intensity 15; 58.56 deg, intensity 13; 87.52 deg, intensity 9; 64.41 deg, intensity 7

***

[6]
For Y3Pb, a PBE-relaxed structure gives the computed powder XRD pattern in this record (Cu Kα X-rays).
No peak broadening, texture or thermal motion is included.

Crystal structure
Cell: 8.0541 9.6895 6.5313 Å, 90.00 90.00 90.00°
Fractional positions:
Y (0.0253, 0.2500, 0.1240)
Y (0.1881, 0.0486, 0.6367)
Y (0.1881, 0.4514, 0.6367)
Y (0.3119, 0.5486, 0.1367)
Y (0.3119, 0.9514, 0.1367)
Y (0.4747, 0.7500, 0.6240)
Y (0.5253, 0.2500, 0.3760)
Y (0.6881, 0.0486, 0.8633)
Y (0.6881, 0.4514, 0.8633)
Y (0.8119, 0.5486, 0.3633)
Y (0.8119, 0.9514, 0.3633)
Y (0.9747, 0.7500, 0.8760)
Pb (0.1154, 0.7500, 0.4187)
Pb (0.3846, 0.2500, 0.9187)
Pb (0.6154, 0.7500, 0.0813)
Pb (0.8846, 0.2500, 0.5813)

Top 10 peaks for 2θ = 10–90°, most intense first:
30.95 deg, intensity 100; 34.96 deg, intensity 67; 32.87 deg, intensity 65; 31.98 deg, intensity 59; 28.83 deg, intensity 47; 35.63 deg, intensity 43; 19.75 deg, intensity 43; 17.48 deg, intensity 41; 36.17 deg, intensity 39; 37.39 deg, intensity 36

***

[7]
For YPb3, a PBE-relaxed structure gives the computed powder XRD pattern in this record (Cu Kα X-rays).
No peak broadening, texture or thermal motion is included.

Crystal structure
Cell: 4.8820 4.8820 4.9003 Å, 90.00 90.00 90.00°
Fractional positions:
Y (0.0000, 0.0000, 0.0000)
Pb (0.0000, 0.5000, 0.5000)
Pb (0.5000, 0.0000, 0.5000)
Pb (0.5000, 0.5000, 0.0000)

Top 10 peaks for 2θ = 10–90°, most intense first:
31.71 deg, intensity 100; 36.82 deg, intensity 34; 63.14 deg, intensity 29; 52.95 deg, intensity 24; 36.68 deg, intensity 17; 62.95 deg, intensity 14; 86.80 deg, intensity 13; 66.23 deg, intensity 12; 53.06 deg, intensity 12; 89.81 deg, intensity 12

***

[8]
For Y3Pb, a PBE-relaxed structure gives the computed powder XRD pattern in this record (Cu Kα X-rays).
No peak broadening, texture or thermal motion is included.

Crystal structure
Cell: 7.0552 7.0552 5.0577 Å, 90.00 90.00 103.55°
Fractional positions:
Y (0.1112, 0.8888, 0.7500)
Y (0.1731, 0.3986, 0.7500)
Y (0.3986, 0.1731, 0.2500)
Y (0.6014, 0.8269, 0.7500)
Y (0.8269, 0.6014, 0.2500)
Y (0.8888, 0.1112, 0.2500)
Pb (0.3249, 0.6751, 0.2500)
Pb (0.6751, 0.3249, 0.7500)

Top 10 peaks for 2θ = 10–90°, most intense first:
31.52 deg, intensity 100; 35.50 deg, intensity 24; 36.53 deg, intensity 15; 61.27 deg, intensity 15; 26.19 deg, intensity 14; 32.30 deg, intensity 14; 31.70 deg, intensity 13; 21.83 deg, intensity 13; 41.37 deg, intensity 11; 64.41 deg, intensity 11

***

[9]
For YPb3, a PBE-relaxed structure gives the computed powder XRD pattern in this record (Cu Kα X-rays).
No peak broadening, texture or thermal motion is included.

Crystal structure
Cell: 5.6766 5.6766 3.6874 Å, 90.00 90.00 90.00°
Fractional positions:
Y (0.0000, 0.0000, 0.0000)
Pb (0.0000, 0.5000, 0.5000)
Pb (0.5000, 0.0000, 0.5000)
Pb (0.5000, 0.5000, 0.0000)

Top 10 peaks for 2θ = 10–90°, most intense first:
32.99 deg, intensity 100; 31.52 deg, intensity 56; 57.06 deg, intensity 43; 45.18 deg, intensity 21; 59.82 deg, intensity 19; 69.19 deg, intensity 12; 74.80 deg, intensity 10; 75.60 deg, intensity 10; 49.43 deg, intensity 8; 81.98 deg, intensity 8

***

[10]
For Y4Zn3Pb, a PBE-relaxed structure gives the computed powder XRD pattern in this record (Cu Kα X-rays).
No peak broadening, texture or thermal motion is included.

Crystal structure
Cell: 9.0227 9.0227 9.0227 Å, 33.10 33.10 33.10°
Fractional positions:
Y (0.1196, 0.1196, 0.1196)
Y (0.3706, 0.3706, 0.3706)
Y (0.6294, 0.6294, 0.6294)
Y (0.8804, 0.8804, 0.8804)
Zn (0.0000, 0.0000, 0.0000)
Zn (0.2546, 0.2546, 0.2546)
Zn (0.7454, 0.7454, 0.7454)
Pb (0.5000, 0.5000, 0.5000)

Top 10 peaks for 2θ = 10–90°, most intense first:
34.91 deg, intensity 100; 34.56 deg, intensity 99; 62.38 deg, intensity 35; 49.94 deg, intensity 34; 62.61 deg, intensity 18; 61.68 deg, intensity 16; 84.05 deg, intensity 15; 83.44 deg, intensity 13; 26.55 deg, intensity 12; 73.74 deg, intensity 11

***

[11]
For Y2ZnPb, a PBE-relaxed structure gives the computed powder XRD pattern in this record (Cu Kα X-rays).
No peak broadening, texture or thermal motion is included.

Crystal structure
Cell: 4.3191 6.0814 6.0814 Å, 42.24 90.00 90.00°
Fractional positions:
Y (0.0000, 0.0000, 0.0000)
Y (0.5000, 0.2824, 0.2824)
Zn (0.0000, 0.7322, 0.7322)
Pb (0.5000, 0.5651, 0.5651)

Top 10 peaks for 2θ = 10–90°, most intense first:
30.10 deg, intensity 100; 37.69 deg, intensity 79; 37.95 deg, intensity 31; 15.62 deg, intensity 28; 41.20 deg, intensity 25; 31.24 deg, intensity 25; 31.54 deg, intensity 24; 41.83 deg, intensity 24; 21.74 deg, intensity 22; 57.25 deg, intensity 19

***

[12]
For Y6Zn5Pb, a PBE-relaxed structure gives the computed powder XRD pattern in this record (Cu Kα X-rays).
No peak broadening, texture or thermal motion is included.

Crystal structure
Cell: 8.9026 8.9026 8.9026 Å, 146.55 131.93 59.83°
Fractional positions:
Y (0.0717, 0.3284, 0.7433)
Y (0.2366, 0.0000, 0.2366)
Y (0.4150, 0.6716, 0.7433)
Y (0.5850, 0.3284, 0.2567)
Y (0.7634, 0.0000, 0.7634)
Y (0.9283, 0.6716, 0.2567)
Zn (0.0000, 0.5000, 0.5000)
Zn (0.1681, 0.1681, 0.0000)
Zn (0.3297, 0.8297, 0.5000)
Zn (0.6703, 0.1703, 0.5000)
Zn (0.8319, 0.8319, 0.0000)
Pb (0.5000, 0.5000, 0.0000)

Top 10 peaks for 2θ = 10–90°, most intense first:
34.96 deg, intensity 100; 62.79 deg, intensity 21; 50.28 deg, intensity 21; 62.64 deg, intensity 21; 35.02 deg, intensity 20; 84.49 deg, intensity 9; 73.88 deg, intensity 8; 84.38 deg, intensity 6; 24.19 deg, intensity 4; 21.20 deg, intensity 4

***

[13]
For YZr2Pb, a PBE-relaxed structure gives the computed powder XRD pattern in this record (Cu Kα X-rays).
No peak broadening, texture or thermal motion is included.

Crystal structure
Cell: 5.7038 5.7038 3.3212 Å, 90.00 90.00 111.15°
Fractional positions:
Y (0.0000, 0.0000, 0.0000)
Zr (0.0000, 0.5000, 0.5000)
Zr (0.5000, 0.0000, 0.5000)
Pb (0.5000, 0.5000, 0.0000)

Top 10 peaks for 2θ = 10–90°, most intense first:
33.01 deg, intensity 100; 33.70 deg, intensity 95; 38.93 deg, intensity 64; 55.73 deg, intensity 45; 66.33 deg, intensity 39; 38.26 deg, intensity 33; 16.67 deg, intensity 26; 67.59 deg, intensity 25; 31.75 deg, intensity 18; 65.86 deg, intensity 13

***

[14]
For YZr2Pb, a PBE-relaxed structure gives the computed powder XRD pattern in this record (Cu Kα X-rays).
No peak broadening, texture or thermal motion is included.

Crystal structure
Cell: 3.8943 3.8943 6.6727 Å, 90.00 90.00 90.00°
Fractional positions:
Y (0.0000, 0.0000, 0.0000)
Zr (0.5000, 0.5000, 0.2735)
Zr (0.5000, 0.5000, 0.7265)
Pb (0.0000, 0.0000, 0.5000)

Top 10 peaks for 2θ = 10–90°, most intense first:
35.43 deg, intensity 100; 32.52 deg, intensity 65; 59.91 deg, intensity 43; 46.65 deg, intensity 24; 13.27 deg, intensity 21; 65.41 deg, intensity 15; 79.16 deg, intensity 12; 77.51 deg, intensity 11; 74.97 deg, intensity 10; 35.26 deg, intensity 9

***

[15]
For ZnPb, a PBE-relaxed structure gives the computed powder XRD pattern in this record (Cu Kα X-rays).
No peak broadening, texture or thermal motion is included.

Crystal structure
Cell: 4.1560 4.1560 4.1560 Å, 60.00 60.00 60.00°
Fractional positions:
Zn (0.0000, 0.0000, 0.0000)
Pb (0.5000, 0.5000, 0.5000)

Top 10 peaks for 2θ = 10–90°, most intense first:
30.42 deg, intensity 100; 43.55 deg, intensity 76; 26.26 deg, intensity 44; 71.83 deg, intensity 35; 54.05 deg, intensity 27; 79.97 deg, intensity 26; 51.57 deg, intensity 23; 63.29 deg, intensity 13; 69.74 deg, intensity 10; 85.93 deg, intensity 8